The following is a calculated PXRD pattern of Sm2Y3Ho6Zr. It was derived from DFT lattice parameters and positions (GGA-PBE), using Cu Ka.
Kinematic intensities with the Lorentz-polarization factor, no thermal factor.

```
Sm2Y3Ho6Zr
1.0
3.051 -5.277 0.000
3.051 5.277 0.000
-2.020 0.000 11.490
Sm Y Ho Zr
2 3 6 1
direct
0.167 0.833 0.000
0.833 0.167 0.000
0.000 0.000 0.500
0.334 0.666 0.500
0.666 0.334 0.500
0.091 0.418 0.755
0.256 0.256 0.245
0.418 0.091 0.755
0.582 0.909 0.245
0.744 0.744 0.755
0.909 0.582 0.245
0.500 0.500 0.000
```

Main lines, most intense first (2θ = 10–80°):
31.12 deg, I = 100
36.09 deg, I = 50
51.96 deg, I = 35
61.79 deg, I = 28
61.85 deg, I = 14
64.89 deg, I = 12
15.42 deg, I = 4
76.60 deg, I = 4